Record 1
Simulated PXRD pattern of UH18C20N4Cl6 for Cu Kα, 1.54184 Å, from a crystal structure in OQMD, relaxed with GGA-PBE.
No peak broadening, texture or thermal motion is included.

Structure:
Cell lengths 8.5737, 9.3238, 9.5938 Å; angles 63.32, 88.89, 67.03 degrees
Space group P-1 (No. 2)
Inequivalent atoms, fractional coordinates:
U: 0.0000 0.0000 0.0000 [1 per cell]
H: 0.1054 0.0883 0.4617 [2 per cell]
H: 0.1229 0.5587 0.5734 [2 per cell]
H: 0.1242 0.2747 0.1834 [2 per cell]
H: 0.2081 0.3262 0.8604 [2 per cell]
H: 0.2921 0.7328 0.4588 [2 per cell]
H: 0.2954 0.0440 0.6867 [2 per cell]
H: 0.3737 0.5588 0.0999 [2 per cell]
H: 0.4744 0.2716 0.0228 [2 per cell]
H: 0.4980 0.1878 0.6244 [2 per cell]
C: 0.1952 0.1493 0.4391 [2 per cell]
C: 0.2054 0.2542 0.2830 [2 per cell]
C: 0.2349 0.5330 0.6484 [2 per cell]
C: 0.2811 0.4039 0.8078 [2 per cell]
C: 0.3013 0.1245 0.5638 [2 per cell]
C: 0.3307 0.6305 0.5831 [2 per cell]
C: 0.4139 0.2051 0.5287 [2 per cell]
C: 0.4148 0.3083 0.3690 [2 per cell]
C: 0.4261 0.3718 0.8985 [2 per cell]
C: 0.4736 0.5977 0.6791 [2 per cell]
N: 0.3130 0.3324 0.2477 [2 per cell]
N: 0.4843 0.5320 0.1675 [2 per cell]
Cl: 0.0475 0.7131 0.2605 [2 per cell]
Cl: 0.1660 0.8020 0.8669 [2 per cell]
Cl: 0.2898 0.9861 0.0992 [2 per cell]

Principal peaks in the range 2θ = 5–70°, in order of rising 2θ:
- (0 0 1), 2θ 10.51, 8.417 Å, I 76
- (0 1 1), 2θ 11.41, 7.756 Å, I 100
- (0 1 0), 2θ 11.75, 7.533 Å, I 39
- (1 1 0), 2θ 12.40, 7.136 Å, I 73
- (1 1 1), 2θ 13.84, 6.397 Å, I 77
- (1 0 -1), 2θ 13.99, 6.330 Å, I 53
- (1 1 -1), 2θ 18.41, 4.818 Å, I 43
- (0 1 2), 2θ 18.58, 4.777 Å, I 56
- (0 1 -1), 2θ 19.21, 4.620 Å, I 37
- (2 1 1), 2θ 22.76, 3.907 Å, I 37
- (-1 2 2), 2θ 28.33, 3.151 Å, I 68
- (3 2 2), 2θ 36.29, 2.475 Å, I 39

---

Record 2
Simulated PXRD pattern of UH24C8N2Cl6 for Cu Kα, 1.54184 Å, from a crystal structure in OQMD, relaxed with GGA-PBE.
No peak broadening, texture or thermal motion is included.

Structure:
Cell lengths 13.0579, 13.0579, 13.0579 Å; angles 90.00, 90.00, 90.00 degrees
Space group Fm-3m (No. 225)
Inequivalent atoms, fractional coordinates:
U: 0.0000 0.0000 0.0000 [4 per cell]
H: 0.1356 0.1356 0.2671 [96 per cell]
C: 0.1838 0.1838 0.3162 [32 per cell]
N: 0.2500 0.2500 0.2500 [8 per cell]
Cl: 0.0000 0.0000 0.2012 [24 per cell]

Principal peaks in the range 2θ = 5–70°, in order of rising 2θ:
- (1 1 1), 2θ 11.74, 7.539 Å, I 100
- (2 0 0), 2θ 13.56, 6.529 Å, I 24
- (2 2 0), 2θ 19.23, 4.617 Å, I 40
- (3 1 1), 2θ 22.58, 3.937 Å, I 44
- (4 0 0), 2θ 27.32, 3.264 Å, I 22
- (4 2 0), 2θ 30.62, 2.920 Å, I 25
- (5 1 1), 2θ 35.73, 2.513 Å, I 29
- (4 4 0), 2θ 39.02, 2.308 Å, I 13
- (5 3 1), 2θ 40.89, 2.207 Å, I 30
- (6 0 0), 2θ 41.49, 2.176 Å, I 14
- (5 5 1), 2θ 49.87, 1.828 Å, I 18
- (5 5 3), 2θ 53.93, 1.700 Å, I 13

---

Q: Which formula does entry 2 have?
A: UH24C8N2Cl6